[1]
Starting from a GGA-PBE-relaxed structure, the X-ray diffraction stick pattern of Rb4AgBr3 was simulated for copper Kα.

abc: 10.0918 14.1999 4.9987
angles: 90.00 90.00 90.00
Space group Cmmm (No. 65)
Asymmetric unit:
Rb: 0.0000 0.2464 0.0000 (multiplicity 4)
Rb: 0.2410 0.0000 0.5000 (multiplicity 4)
Ag: 0.0000 0.5000 0.0000 (multiplicity 2)
Br: 0.0000 0.0000 0.0000 (multiplicity 2)
Br: 0.2500 0.2500 0.5000 (multiplicity 4)

Peak list (10 most intense, 10 to 90 degrees two-theta, sorted by position)
- 25.08°, rel. 100.0, (2 0 1)
- 35.58°, rel. 13.0, (4 0 0)
- 35.76°, rel. 51.8, (2 4 1)
- 35.93°, rel. 12.8, (0 0 2)
- 44.03°, rel. 14.1, (4 4 0)
- 44.32°, rel. 14.0, (0 4 2)
- 51.47°, rel. 13.2, (0 8 0)
- 58.09°, rel. 24.3, (2 8 1)
- 64.03°, rel. 8.9, (6 4 1)
- 64.48°, rel. 8.9, (2 4 3)


[2]
Starting from a GGA-PBE-relaxed structure, the X-ray diffraction stick pattern of Y12Cu6Ni was simulated for copper Kα.

abc: 12.2397 12.2397 11.8955
angles: 90.00 90.00 120.00
Space group R-3 (No. 148, hexagonal axes)
Asymmetric unit:
Y: 0.0247 0.8247 0.3902 (multiplicity 18)
Y: 0.0388 0.8440 0.8759 (multiplicity 18)
Cu: 0.0431 0.7702 0.6428 (multiplicity 18)
Ni: 0.0000 0.0000 0.0000 (multiplicity 3)

Peak list (10 most intense, 10 to 90 degrees two-theta, sorted by position)
- 23.43°, rel. 61.8, (3 -1 1)
- 26.83°, rel. 65.1, (1 2 2)
- 29.18°, rel. 29.3, (2 2 0)
- 31.24°, rel. 58.0, (1 0 4)
- 34.01°, rel. 100.0, (4 -1 2)
- 37.67°, rel. 85.1, (3 -1 4)
- 38.94°, rel. 80.8, (4 1 0)
- 40.06°, rel. 34.7, (2 3 2)
- 54.90°, rel. 22.5, (3 4 2)
- 55.24°, rel. 45.6, (2 2 6)


[3]
Starting from a GGA-PBE-relaxed structure, the X-ray diffraction stick pattern of Ag2TeO4 was simulated for copper Kα.

abc: 5.7381 10.9932 3.1295
angles: 90.00 90.00 90.00
Space group Pbam (No. 55)
Asymmetric unit:
Ag: 0.0428 0.1872 0.0000 (multiplicity 4)
Te: 0.0000 0.5000 0.5000 (multiplicity 2)
O: 0.1268 0.6610 0.5000 (multiplicity 4)
O: 0.2161 0.4555 0.0000 (multiplicity 4)

Peak list (10 most intense, 10 to 90 degrees two-theta, sorted by position)
- 17.43°, rel. 14.0, (1 1 0)
- 28.91°, rel. 100.0, (1 3 0)
- 31.17°, rel. 35.7, (2 0 0)
- 32.93°, rel. 43.2, (0 2 1)
- 33.62°, rel. 64.9, (1 1 1)
- 45.98°, rel. 47.1, (2 2 1)
- 53.37°, rel. 40.1, (1 5 1)
- 54.09°, rel. 13.7, (3 3 0)
- 59.04°, rel. 14.2, (0 0 2)
- 67.05°, rel. 17.5, (1 3 2)


[4]
Starting from a GGA-PBE-relaxed structure, the X-ray diffraction stick pattern of TbY8Tm5 was simulated for copper Kα.

abc: 9.5160 9.5160 10.1008
angles: 90.00 90.00 90.00
Space group I-4 (No. 82)
Asymmetric unit:
Tb: 0.0000 0.0000 0.0000 (multiplicity 2)
Y: 0.0708 0.8225 0.3463 (multiplicity 8)
Y: 0.0870 0.6733 0.0029 (multiplicity 8)
Tm: 0.0000 0.5000 0.2500 (multiplicity 2)
Tm: 0.1103 0.7099 0.6762 (multiplicity 8)

Peak list (10 most intense, 10 to 90 degrees two-theta, sorted by position)
- 22.67°, rel. 36.1, (2 1 1)
- 28.11°, rel. 54.5, (1 0 3)
- 29.52°, rel. 72.8, (3 0 1)
- 29.69°, rel. 77.0, (3 1 0)
- 31.96°, rel. 21.2, (2 2 2)
- 33.95°, rel. 100.0, (1 2 3)
- 34.70°, rel. 40.5, (1 3 2)
- 35.14°, rel. 49.3, (2 3 1)
- 42.48°, rel. 23.6, (2 4 0)
- 63.28°, rel. 37.4, (3 1 6)